Calculated XRD peak list of V4GaSi for Cu Kα (weighted mean of Kα1 and Kα2), from DFT lattice parameters and positions (GGA-PBE).
No peak broadening, texture or thermal motion is included.

Crystal structure
a = 5.1258 Å, b = 14.6640 Å, c = 4.3796 Å
α = 90.00°, β = 100.91°, γ = 90.00°
Space group C2/c (No. 15)
Asymmetric unit:
V (0.2424, 0.0396, 0.2354) (multiplicity 8)
V (0.2483, 0.2103, 0.2447) (multiplicity 8)
Ga (0.0000, 0.3757, 0.2500) (multiplicity 4)
Si (0.0000, 0.1256, 0.7500) (multiplicity 4)

Main lines, sorted by position (10° ≤ 2θ ≤ 80°):
2θ/deg, I (rel.), index
39.87, 53, 2 2 -1
42.02, 52, 0 0 2
42.55, 100, 0 6 1
43.62, 45, 2 4 0
46.81, 32, 2 2 1
56.64, 20, 2 4 -2
67.44, 12, 2 4 2
77.14, 15, 0 6 3

=====

Calculated XRD peak list of Y3Ga2Si3 for Cu Kα (weighted mean of Kα1 and Kα2), from DFT lattice parameters and positions (GGA-PBE).
No peak broadening, texture or thermal motion is included.

Crystal structure
a = 4.1113 Å, b = 10.7394 Å, c = 14.9176 Å
α = 90.00°, β = 90.00°, γ = 90.00°
Space group Cmcm (No. 63)
Asymmetric unit:
Y (0.0000, 0.0678, 0.2500) (multiplicity 4)
Y (0.0000, 0.3621, 0.0944) (multiplicity 8)
Ga (0.0000, 0.3499, 0.6213) (multiplicity 8)
Si (0.0000, 0.0783, 0.0533) (multiplicity 8)
Si (0.0000, 0.2025, 0.7500) (multiplicity 4)

Main lines, sorted by position (10° ≤ 2θ ≤ 80°):
2θ/deg, I (rel.), index
26.10, 25, 1 1 2
33.18, 64, 1 3 0
33.37, 33, 0 4 0
33.50, 100, 1 1 4
33.74, 28, 1 3 1
36.13, 30, 0 0 6
41.28, 45, 1 3 4
44.05, 39, 2 0 0

=====

Calculated XRD peak list of Zr4GaSi for Cu Kα (weighted mean of Kα1 and Kα2), from DFT lattice parameters and positions (GGA-PBE).
No peak broadening, texture or thermal motion is included.

Crystal structure
a = 6.6558 Å, b = 6.6558 Å, c = 5.4159 Å
α = 90.00°, β = 90.00°, γ = 90.00°
Space group P4/mcc (No. 124)
Asymmetric unit:
Zr (0.1520, 0.3400, 0.0000) (multiplicity 8)
Ga (0.5000, 0.5000, 0.2500) (multiplicity 2)
Si (0.0000, 0.0000, 0.2500) (multiplicity 2)

Main lines, sorted by position (10° ≤ 2θ ≤ 80°):
2θ/deg, I (rel.), index
33.08, 12, 0 0 2
34.38, 100, 2 1 1
38.35, 21, 1 1 2
43.01, 49, 3 1 0
59.93, 19, 2 1 3
65.88, 12, 4 0 2
69.21, 16, 3 3 2
79.55, 11, 5 2 1

=====

Calculated XRD peak list of SmGa2 for Cu Kα (weighted mean of Kα1 and Kα2), from DFT lattice parameters and positions (GGA-PBE).
No peak broadening, texture or thermal motion is included.

Crystal structure
a = 4.2317 Å, b = 4.2317 Å, c = 14.8184 Å
α = 90.00°, β = 90.00°, γ = 90.00°
Space group I4_1/amd (No. 141, origin choice 2)
Asymmetric unit:
Sm (0.0000, 0.2500, 0.3750) (multiplicity 4)
Ga (0.0000, 0.2500, 0.7921) (multiplicity 8)

Main lines, sorted by position (10° ≤ 2θ ≤ 80°):
2θ/deg, I (rel.), index
27.76, 32, 1 0 3
32.26, 100, 1 1 2
37.03, 52, 1 0 5
42.74, 40, 2 0 0
48.06, 25, 1 0 7
57.81, 28, 2 1 5
66.24, 19, 2 1 7
71.66, 20, 3 1 2

=====

Calculated XRD peak list of SmGa5 for Cu Kα (weighted mean of Kα1 and Kα2), from DFT lattice parameters and positions (GGA-PBE).
No peak broadening, texture or thermal motion is included.

Crystal structure
a = 4.1775 Å, b = 6.4783 Å, c = 8.8578 Å
α = 90.00°, β = 90.00°, γ = 90.00°
Space group Immm (No. 71)
Asymmetric unit:
Sm (0.0000, 0.0000, 0.0000) (multiplicity 2)
Ga (0.0000, 0.2117, 0.3374) (multiplicity 8)
Ga (0.0000, 0.5000, 0.0000) (multiplicity 2)

Main lines, sorted by position (10° ≤ 2θ ≤ 80°):
2θ/deg, I (rel.), index
25.37, 21, 1 1 0
34.30, 54, 0 2 2
36.54, 100, 1 2 1
37.29, 98, 1 0 3
43.32, 32, 2 0 0
49.89, 22, 0 2 4
56.38, 27, 2 2 2
68.17, 17, 2 2 4

=====

Calculated XRD peak list of Sm4Ga for Cu Kα (weighted mean of Kα1 and Kα2), from DFT lattice parameters and positions (GGA-PBE).
No peak broadening, texture or thermal motion is included.

Crystal structure
a = 9.1519 Å, b = 9.1519 Å, c = 7.8158 Å
α = 90.00°, β = 90.00°, γ = 90.00°
Space group I4_1/amd (No. 141, origin choice 2)
Asymmetric unit:
Sm (0.0000, 0.0600, 0.2151) (multiplicity 16)
Ga (0.0000, 0.2500, 0.8750) (multiplicity 4)

Main lines, sorted by position (10° ≤ 2θ ≤ 80°):
2θ/deg, I (rel.), index
27.57, 37, 2 2 0
30.07, 100, 2 0 2
31.48, 59, 3 0 1
35.84, 30, 1 0 3
37.25, 37, 3 2 1
39.38, 17, 4 0 0
50.18, 19, 3 2 3
51.26, 24, 4 3 1

=====

Calculated XRD peak list of Sm2GaSn4 for Cu Kα (weighted mean of Kα1 and Kα2), from DFT lattice parameters and positions (GGA-PBE).
No peak broadening, texture or thermal motion is included.

Crystal structure
a = 8.9875 Å, b = 8.9415 Å, c = 6.5774 Å
α = 90.00°, β = 133.00°, γ = 90.00°
Space group C2/m (No. 12)
Asymmetric unit:
Sm (0.2500, 0.2500, 0.0000) (multiplicity 4)
Ga (0.0000, 0.0000, 0.0000) (multiplicity 2)
Sn (0.0000, 0.0000, 0.5000) (multiplicity 2)
Sn (0.0000, 0.5000, 0.5000) (multiplicity 2)
Sn (0.2500, 0.2500, 0.5000) (multiplicity 4)

Main lines, sorted by position (10° ≤ 2θ ≤ 80°):
2θ/deg, I (rel.), index
27.19, 12, 2 0 0
33.87, 100, 2 2 0
37.39, 19, 0 0 2
40.13, 16, 4 0 -2
40.35, 16, 0 4 0
65.21, 16, 2 2 2
68.94, 13, 6 2 -2
69.23, 13, 2 6 0

=====

Calculated XRD peak list of Sm12Ga6Sn for Cu Kα (weighted mean of Kα1 and Kα2), from DFT lattice parameters and positions (GGA-PBE).
No peak broadening, texture or thermal motion is included.

Crystal structure
a = 10.2969 Å, b = 10.2969 Å, c = 10.2969 Å
α = 90.00°, β = 90.00°, γ = 90.00°
Space group Im-3 (No. 204)
Asymmetric unit:
Sm (0.0000, 0.2946, 0.1885) (multiplicity 24)
Ga (0.0000, 0.1213, 0.5000) (multiplicity 12)
Sn (0.0000, 0.0000, 0.0000) (multiplicity 2)

Main lines, sorted by position (10° ≤ 2θ ≤ 80°):
2θ/deg, I (rel.), index
27.39, 28, 3 0 1
30.06, 46, 2 2 2
32.54, 100, 3 1 2
34.85, 20, 4 0 0
44.89, 19, 5 0 1
51.77, 33, 5 3 0
54.97, 33, 5 2 3
63.93, 20, 5 3 4

=====

Calculated XRD peak list of Sm2Ga3Sn2 for Cu Kα (weighted mean of Kα1 and Kα2), from DFT lattice parameters and positions (GGA-PBE).
No peak broadening, texture or thermal motion is included.

Crystal structure
a = 8.8656 Å, b = 8.8656 Å, c = 8.8656 Å
α = 90.00°, β = 90.00°, γ = 90.00°
Space group I2_13 (No. 199)
Asymmetric unit:
Sm (0.0034, 0.0034, 0.0034) (multiplicity 8)
Ga (0.0000, 0.2500, 0.2408) (multiplicity 12)
Sn (0.1937, 0.3063, 0.6937) (multiplicity 8)

Main lines, sorted by position (10° ≤ 2θ ≤ 80°):
2θ/deg, I (rel.), index
28.48, 100, 2 2 0
31.92, 40, 3 0 1
35.06, 50, 2 2 2
37.98, 51, 3 2 1
40.71, 44, 4 0 0
50.43, 23, 4 2 2
58.93, 26, 4 4 0
70.45, 39, 6 2 2

=====

Calculated XRD peak list of Sm2Ga3Sn3 for Cu Kα (weighted mean of Kα1 and Kα2), from DFT lattice parameters and positions (GGA-PBE).
No peak broadening, texture or thermal motion is included.

Crystal structure
a = 4.3894 Å, b = 4.4987 Å, c = 9.5623 Å
α = 90.00°, β = 90.00°, γ = 90.00°
Space group Pmmm (No. 47)
Asymmetric unit:
Sm (0.0000, 0.0000, 0.2436) (multiplicity 2)
Ga (0.5000, 0.0000, 0.0000) (multiplicity 1)
Ga (0.5000, 0.5000, 0.2323) (multiplicity 2)
Sn (0.0000, 0.5000, 0.0000) (multiplicity 1)
Sn (0.0000, 0.5000, 0.5000) (multiplicity 1)
Sn (0.5000, 0.0000, 0.5000) (multiplicity 1)

Main lines, sorted by position (10° ≤ 2θ ≤ 80°):
2θ/deg, I (rel.), index
34.15, 100, 1 1 2
37.63, 19, 0 0 4
40.09, 16, 0 2 0
41.13, 15, 2 0 0
56.15, 12, 0 2 4
65.69, 14, 1 1 6
69.04, 13, 1 3 2
70.49, 12, 3 1 2

=====

Calculated XRD peak list of Sm2GaSn3 for Cu Kα (weighted mean of Kα1 and Kα2), from DFT lattice parameters and positions (GGA-PBE).
No peak broadening, texture or thermal motion is included.

Crystal structure
a = 13.1475 Å, b = 9.3312 Å, c = 5.7423 Å
α = 90.00°, β = 90.00°, γ = 90.00°
Space group Cmcm (No. 63)
Asymmetric unit:
Sm (0.1453, 0.1893, 0.2500) (multiplicity 8)
Ga (0.0000, 0.3696, 0.7500) (multiplicity 4)
Sn (0.0000, 0.0821, 0.7500) (multiplicity 4)
Sn (0.1731, 0.5000, 0.0000) (multiplicity 8)

Main lines, sorted by position (10° ≤ 2θ ≤ 80°):
2θ/deg, I (rel.), index
27.33, 100, 3 1 1
33.35, 30, 1 1 2
33.47, 26, 1 3 1
35.39, 60, 3 3 0
36.75, 27, 0 2 2
38.72, 25, 3 1 2
41.20, 25, 6 0 0
63.09, 23, 3 5 2

=====

Calculated XRD peak list of Sm3Ga2Sn3 for Cu Kα (weighted mean of Kα1 and Kα2), from DFT lattice parameters and positions (GGA-PBE).
No peak broadening, texture or thermal motion is included.

Crystal structure
a = 9.9868 Å, b = 8.0247 Å, c = 10.1060 Å
α = 90.00°, β = 90.00°, γ = 90.00°
Space group Cmcm (No. 63)
Asymmetric unit:
Sm (0.0000, 0.1359, 0.2500) (multiplicity 4)
Sm (0.2019, 0.5000, 0.0000) (multiplicity 8)
Ga (0.0000, 0.1826, 0.5421) (multiplicity 8)
Sn (0.0000, 0.4765, 0.7500) (multiplicity 4)
Sn (0.2019, 0.2079, 0.7500) (multiplicity 8)

Main lines, sorted by position (10° ≤ 2θ ≤ 80°):
2θ/deg, I (rel.), index
29.90, 25, 2 2 1
33.70, 100, 2 2 2
34.13, 35, 3 1 2
34.72, 37, 1 3 0
35.53, 47, 0 0 4
39.69, 25, 3 1 3
50.50, 25, 1 3 4
69.51, 26, 5 3 4

=====

Calculated XRD peak list of Tb2Sm8Ga for Cu Kα (weighted mean of Kα1 and Kα2), from DFT lattice parameters and positions (GGA-PBE).
No peak broadening, texture or thermal motion is included.

Crystal structure
a = 5.5221 Å, b = 7.4957 Å, c = 17.3701 Å
α = 90.00°, β = 90.00°, γ = 90.00°
Space group Immm (No. 71)
Asymmetric unit:
Tb (0.0000, 0.0000, 0.1918) (multiplicity 4)
Sm (0.0000, 0.2533, 0.0000) (multiplicity 4)
Sm (0.0000, 0.2646, 0.3686) (multiplicity 8)
Sm (0.0000, 0.5000, 0.1827) (multiplicity 4)
Ga (0.0000, 0.0000, 0.5000) (multiplicity 2)

Main lines, sorted by position (10° ≤ 2θ ≤ 80°):
2θ/deg, I (rel.), index
25.89, 17, 0 2 2
30.40, 39, 1 0 5
30.89, 13, 0 0 6
32.43, 33, 2 0 0
32.76, 100, 1 2 3
48.45, 16, 0 2 8
58.06, 20, 3 2 3
59.51, 18, 2 2 8